Starting from a cell relaxed with GGA-PBE, the X-ray diffraction stick pattern of PrCoNi was computed for Cu Kα, 1.54184 Å.
Peak positions follow from Bragg's law for the DFT cell and can differ from measured ones.

Principal peaks in the range 10 to 80 degrees two-theta, sorted by position:
d (Å)	intensity	index
2.579	96	1 1 2
2.550	20	2 0 0
2.206	33	0 1 3
2.199	100	1 2 1
2.183	63	2 1 1
1.408	22	1 0 5
1.395	22	3 2 1
1.289	29	2 2 4

Structural model:
```
PrCoNi
1.0
5.101 0.000 0.000
0.000 5.168 0.000
0.000 0.000 7.320
Pr Co Ni
4 4 4
direct
0.000 0.250 0.125
0.000 0.750 0.875
0.500 0.250 0.375
0.500 0.750 0.625
0.250 0.250 0.750
0.250 0.750 0.250
0.750 0.250 0.750
0.750 0.750 0.250
0.000 0.000 0.500
0.000 0.500 0.500
0.500 0.000 0.000
0.500 0.500 0.000
```